[1]
The following is a theoretical PXRD pattern of TeWO6. It was derived from a crystal structure in the Materials Project, relaxed with PBE+U, using Cu Kα, 1.54184 Å.
No peak broadening, texture or thermal motion is included.

Atomic structure:
abc: 5.1318 5.1318 13.2957
angles: 90.00 90.00 120.00
Space group R-3 (No. 148, hexagonal axes)
One atom of each set of equivalent atoms:
Te1 0.0000 0.0000 0.0000 x3
W1 0.0000 0.0000 0.5000 x3
O1 0.0014 0.3923 0.7537 x18

Most intense lines, 2θ from 10° to 90°, in order of falling intensity:
d/Å, 2θ (°), I (rel.), index
3.695, 24.09, 100, 0 1 2
2.662, 33.67, 33, 1 0 4
2.566, 34.97, 24, 1 1 0
1.677, 54.73, 24, 1 1 6
1.629, 56.51, 17, 3 -2 2
1.847, 49.33, 16, 0 2 4

***

[2]
The following is a theoretical PXRD pattern of MgFeO2. It was derived from a crystal structure in the Materials Project, relaxed with PBE+U, using Cu Kα, 1.54184 Å.
No peak broadening, texture or thermal motion is included.

Atomic structure:
abc: 16.2086 3.0997 9.8911
angles: 90.00 127.50 90.00
Space group C2/m (No. 12)
One atom of each set of equivalent atoms:
Mg1 0.0479 0.0000 0.3844 x4
Mg2 0.1823 0.5000 0.7369 x4
Fe1 0.0902 0.5000 0.9385 x4
Fe2 0.1802 0.0000 0.3242 x4
O1 0.0620 0.5000 0.2668 x4
O2 0.0971 0.0000 0.7255 x4
O3 0.1653 0.0000 0.0949 x4
O4 0.2022 0.0000 0.5806 x4

Most intense lines, 2θ from 10° to 90°, in order of falling intensity:
d/Å, 2θ (°), I (rel.), index
2.688, 33.34, 100, 1 1 1
7.833, 11.30, 50, 2 0 -1
3.929, 22.63, 42, 4 0 -1
2.696, 33.24, 39, 2 0 2
2.473, 36.33, 35, 4 0 -4
1.735, 52.75, 33, 7 1 -1